For Tl3WF6, DFT lattice parameters and positions (GGA+U) gives the simulated X-ray powder pattern in this record (copper Kα).
Lines closer than 0.1° are merged.

Crystal structure
a = 8.114 Å, b = 9.472 Å, c = 11.293 Å
α = 90.00°, β = 90.00°, γ = 90.00°
Space group Fmmm (No. 69)
Inequivalent atoms, fractional coordinates:
Tl: 0.000 0.000 0.000 [4 per cell]
Tl: 0.250 0.250 0.250 [8 per cell]
W: 0.000 0.000 0.500 [4 per cell]
F: 0.000 0.224 0.500 [8 per cell]
F: 0.190 0.000 0.371 [16 per cell]

Top 10 peaks for 10 to 90 degrees two-theta, in order of rising 2θ:
d = 3.628 Å, intensity 1000, (0 2 2)
d = 3.295 Å, intensity 989, (2 0 2)
d = 3.081 Å, intensity 566, (2 2 0)
d = 2.823 Å, intensity 266, (0 0 4)
d = 2.368 Å, intensity 237, (0 4 0)
d = 2.082 Å, intensity 529, (2 2 4)
d = 1.923 Å, intensity 430, (2 4 2)
d = 1.814 Å, intensity 149, (0 4 4)
d = 1.771 Å, intensity 282, (4 2 2)
d = 1.707 Å, intensity 147, (2 0 6)